# CaAl11Cr
Theoretical powder XRD pattern, Cu Kα X-rays. Input: a DFT-relaxed cell (GGA-PBE, Alexandria).
Intensities are scaled so that the largest is 100.

Structure:
```
data_CaAl11Cr
_cell_length_a 5.2468
_cell_length_b 12.8875
_cell_length_c 7.0656
_cell_angle_alpha 90.00
_cell_angle_beta 111.08
_cell_angle_gamma 90.00
_space_group_name_H-M_alt 'C 1 2/m 1'
_space_group_IT_number 12
_space_group_name_Hall '-C 2y'
loop_
_atom_site_label
_atom_site_fract_x
_atom_site_fract_y
_atom_site_fract_z
Ca1 0.0000 0.0000 0.0000
Al1 0.0000 0.0000 0.5000
Al2 0.1019 0.3929 0.2232
Al3 0.1976 0.1716 0.3637
Al4 0.2500 0.2500 0.0000
Cr1 0.0000 0.5000 0.5000
```

Main lines, by angle (2θ = 10–90°):
index, d_spacing, I (rel.)
0 4 2, 2.305, 100
2 2 0, 2.288, 47
1 5 -1, 2.278, 41
2 2 -2, 2.271, 37
2 0 -3, 2.042, 44
2 4 -1, 2.034, 33